This entry pairs a crystal structure of Ba3SrCa2Mo2O12 with its theoretical powder diffractogram. Radiation: a wavelength of 1.5418 Å. Structure: the GGA+U geometry in Alexandria.
Peak positions follow from Bragg's law for the DFT cell and can differ from measured ones.

```
data_Ba3SrCa2Mo2O12
_chemical_formula_sum 'Ba3 Sr1 Ca2 Mo2 O12'
_space_group_name_H-M_alt 'P -4 m 2'
_space_group_IT_number 115
_cell_length_a 5.985
_cell_length_b 5.985
_cell_length_c 8.464
_cell_angle_alpha 90.00
_cell_angle_beta 90.00
_cell_angle_gamma 90.00
loop_
_space_group_symop_operation_xyz
'x,y,z'
'y,-x,-z'
'-x,-y,z'
'-y,x,-z'
'-x,y,z'
'-y,-x,-z'
'x,-y,z'
'y,x,-z'
loop_
_atom_site_label
_atom_site_type_symbol
_atom_site_fract_x
_atom_site_fract_y
_atom_site_fract_z
_atom_site_occupancy
Ba1 Ba 0.000 0.000 0.000 1
Ba2 Ba 0.000 0.000 0.500 1
Ba3 Ba 0.500 0.500 0.000 1
Sr1 Sr 0.500 0.500 0.500 1
Ca1 Ca 0.000 0.500 0.750 1
Mo1 Mo 0.000 0.500 0.253 1
O1 O 0.000 0.500 0.022 1
O2 O 0.000 0.500 0.482 1
O3 O 0.232 0.271 0.254 1
```

Peak list (10 most intense, 10 to 90 degrees two-theta, sorted by position)
18.15 deg, I = 9; 20.99 deg, I = 4; 29.86 deg, I = 100; 36.78 deg, I = 12; 42.73 deg, I = 34; 53.00 deg, I = 39; 62.02 deg, I = 20; 70.34 deg, I = 18; 78.25 deg, I = 7; 85.93 deg, I = 21